[1]
Starting from a DFT-relaxed cell (PBE, the Materials Project), the X-ray diffraction stick pattern of Cu2SiTe3 was calculated for Cu Kα (λ = 1.5418 Å).
Neutral-atom scattering factors, no anomalous dispersion.

The 8 most intense peaks (5° ≤ 2θ ≤ 70°), in order of rising 2θ:
25.83°, d = 3.449 Å, I 1000, hkl 2 0 0
25.87°, d = 3.444 Å, I 982, hkl 1 3 -1
29.89°, d = 2.990 Å, I 168, hkl 1 3 1
42.78°, d = 2.114 Å, I 435, hkl 2 0 2
42.88°, d = 2.109 Å, I 866, hkl 1 3 -3
50.66°, d = 1.802 Å, I 603, hkl 1 3 3
50.85°, d = 1.796 Å, I 299, hkl 2 0 -4
68.51°, d = 1.370 Å, I 178, hkl 1 3 -5

Atomic structure:
Cell lengths 7.2961, 12.6722, 7.3072 Å; angles 90.00, 109.16, 90.00 degrees
Space group Cc (No. 9)
Asymmetric unit:
1 Cu 0.0000 0.0874 0.0000 (multiplicity 4)
2 Cu 0.0116 0.2474 0.5030 (multiplicity 4)
3 Si 0.0190 0.4170 0.0165 (multiplicity 4)
4 Te 0.3783 0.0871 0.1295 (multiplicity 4)
5 Te 0.3835 0.2456 0.6312 (multiplicity 4)
6 Te 0.3880 0.4185 0.1268 (multiplicity 4)


[2]
Starting from a DFT-relaxed cell (PBE, the Materials Project), the X-ray diffraction stick pattern of ThCu2Si2 was calculated for Cu Kα (λ = 1.5418 Å).
Neutral-atom scattering factors, no anomalous dispersion.

The 8 most intense peaks (5° ≤ 2θ ≤ 70°), in order of rising 2θ:
23.47°, d = 3.791 Å, I 702, hkl 1 0 1
34.96°, d = 2.567 Å, I 549, hkl 1 0 3
35.89°, d = 2.502 Å, I 1000, hkl 1 1 2
44.11°, d = 2.053 Å, I 369, hkl 2 0 0
50.55°, d = 1.805 Å, I 196, hkl 2 1 1
51.38°, d = 1.778 Å, I 196, hkl 1 0 5
57.48°, d = 1.603 Å, I 268, hkl 2 1 3
58.49°, d = 1.578 Å, I 170, hkl 2 0 4

Atomic structure:
Cell lengths 4.1065, 4.1065, 9.8652 Å; angles 90.00, 90.00, 90.00 degrees
Space group I4/mmm (No. 139)
Asymmetric unit:
1 Th 0.0000 0.0000 0.0000 (multiplicity 2)
2 Cu 0.0000 0.5000 0.2500 (multiplicity 4)
3 Si 0.0000 0.0000 0.3786 (multiplicity 4)


[3]
Starting from a DFT-relaxed cell (PBE, the Materials Project), the X-ray diffraction stick pattern of TmCu2Si2 was calculated for Cu Kα (λ = 1.5418 Å).
Neutral-atom scattering factors, no anomalous dispersion.

The 8 most intense peaks (5° ≤ 2θ ≤ 70°), in order of rising 2θ:
24.33°, d = 3.658 Å, I 455, hkl 1 0 1
35.31°, d = 2.542 Å, I 470, hkl 1 0 3
35.92°, d = 2.500 Å, I 175, hkl 0 0 4
37.01°, d = 2.429 Å, I 1000, hkl 1 1 2
46.20°, d = 1.965 Å, I 355, hkl 2 0 0
51.25°, d = 1.783 Å, I 189, hkl 1 0 5
59.45°, d = 1.555 Å, I 208, hkl 2 1 3
65.28°, d = 1.429 Å, I 154, hkl 1 1 6

Atomic structure:
Cell lengths 3.9301, 3.9301, 10.0005 Å; angles 90.00, 90.00, 90.00 degrees
Space group I4/mmm (No. 139)
Asymmetric unit:
1 Tm 0.0000 0.0000 0.0000 (multiplicity 2)
2 Cu 0.0000 0.5000 0.2500 (multiplicity 4)
3 Si 0.0000 0.0000 0.3837 (multiplicity 4)


[4]
Starting from a DFT-relaxed cell (PBE, the Materials Project), the X-ray diffraction stick pattern of U2CuSi3 was calculated for Cu Kα (λ = 1.5418 Å).
Neutral-atom scattering factors, no anomalous dispersion.

The 8 most intense peaks (5° ≤ 2θ ≤ 70°), in order of rising 2θ:
22.82°, d = 3.896 Å, I 140, hkl 1 0 0
25.63°, d = 3.476 Å, I 524, hkl 0 1 1
34.58°, d = 2.594 Å, I 1000, hkl 1 1 1
45.11°, d = 2.010 Å, I 105, hkl 0 2 0
45.23°, d = 2.005 Å, I 202, hkl 0 1 3
53.96°, d = 1.699 Å, I 149, hkl 2 1 1
58.08°, d = 1.588 Å, I 153, hkl 1 2 2
66.94°, d = 1.398 Å, I 195, hkl 2 2 0

Atomic structure:
Cell lengths 3.8963, 4.0195, 6.9400 Å; angles 90.00, 90.00, 90.00 degrees
Space group Pmm2 (No. 25)
Asymmetric unit:
1 U 0.0000 0.0000 0.0000 (multiplicity 1)
2 U 0.0000 0.5000 0.4801 (multiplicity 1)
3 Cu 0.5000 0.5000 0.8196 (multiplicity 1)
4 Si 0.5000 0.0000 0.3258 (multiplicity 1)
5 Si 0.5000 0.0000 0.6585 (multiplicity 1)
6 Si 0.5000 0.5000 0.1526 (multiplicity 1)


[5]
Starting from a DFT-relaxed cell (PBE, the Materials Project), the X-ray diffraction stick pattern of U2CuSi3 was calculated for Cu Kα (λ = 1.5418 Å).
Neutral-atom scattering factors, no anomalous dispersion.

The 8 most intense peaks (5° ≤ 2θ ≤ 70°), in order of rising 2θ:
23.16°, d = 3.840 Å, I 304, hkl 0 1 1
23.39°, d = 3.803 Å, I 173, hkl 1 0 1
25.74°, d = 3.462 Å, I 248, hkl 0 0 4
29.57°, d = 3.021 Å, I 171, hkl 0 1 3
29.75°, d = 3.003 Å, I 390, hkl 1 0 3
34.43°, d = 2.605 Å, I 1000, hkl 1 1 2
39.59°, d = 2.276 Å, I 281, hkl 0 1 5
51.67°, d = 1.769 Å, I 171, hkl 1 0 7

Atomic structure:
Cell lengths 3.9551, 3.9964, 13.8460 Å; angles 90.00, 90.00, 90.00 degrees
Space group Imm2 (No. 44)
Asymmetric unit:
1 U 0.0000 0.0000 0.0000 (multiplicity 2)
2 U 0.0000 0.5000 0.2625 (multiplicity 2)
3 Cu 0.0000 0.5000 0.6697 (multiplicity 2)
4 Si 0.0000 0.0000 0.4224 (multiplicity 2)
5 Si 0.0000 0.0000 0.5915 (multiplicity 2)
6 Si 0.0000 0.5000 0.8338 (multiplicity 2)


[6]
Starting from a DFT-relaxed cell (PBE, the Materials Project), the X-ray diffraction stick pattern of U3Cu4Si4 was calculated for Cu Kα (λ = 1.5418 Å).
Neutral-atom scattering factors, no anomalous dispersion.

The 8 most intense peaks (5° ≤ 2θ ≤ 70°), in order of rising 2θ:
22.87°, d = 3.888 Å, I 182, hkl 1 0 1
24.97°, d = 3.566 Å, I 441, hkl 0 1 3
34.96°, d = 2.566 Å, I 442, hkl 1 0 7
35.40°, d = 2.536 Å, I 1000, hkl 1 1 4
45.37°, d = 1.999 Å, I 190, hkl 0 2 0
46.05°, d = 1.971 Å, I 208, hkl 2 0 0
48.02°, d = 1.895 Å, I 179, hkl 0 1 11
58.53°, d = 1.577 Å, I 205, hkl 1 2 7

Atomic structure:
Cell lengths 3.9415, 3.9980, 23.6667 Å; angles 90.00, 90.00, 90.00 degrees
Space group Immm (No. 71)
Asymmetric unit:
1 U 0.0000 0.0000 0.0000 (multiplicity 2)
2 U 0.0000 0.5000 0.1469 (multiplicity 4)
3 Cu 0.0000 0.0000 0.2501 (multiplicity 4)
4 Cu 0.0000 0.5000 0.4036 (multiplicity 4)
5 Si 0.0000 0.0000 0.4507 (multiplicity 4)
6 Si 0.0000 0.5000 0.3070 (multiplicity 4)